Entry 1:
This entry pairs a crystal structure of NaAg2IO with its calculated powder diffractogram. Radiation: Cu Ka. Structure: a structure optimized by DFT (GGA-PBE).
Intensities are scaled so that the largest is 100.

Cell and atoms:
```
data_NaAg2IO
_chemical_formula_sum 'Na4 Ag8 I4 O4'
_symmetry_space_group_name_H-M 'C m c m'
_symmetry_Int_Tables_number 63
_symmetry_space_group_name_Hall '-C 2c 2'
_cell_length_a 3.824
_cell_length_b 16.253
_cell_length_c 7.172
_cell_angle_alpha 90.00
_cell_angle_beta 90.00
_cell_angle_gamma 90.00
loop_
_atom_site_label
_atom_site_fract_x
_atom_site_fract_y
_atom_site_fract_z
Na1 0.000 0.010 0.250
Ag1 0.000 0.371 0.045
I1 0.000 0.245 0.750
O1 0.000 0.500 0.000
```

Peak list (8 most intense, 15° ≤ 2θ ≤ 90°, low angle first)
| two_theta | I/Imax | (hkl) |
| --- | --- | --- |
| 23.9 | 48 | 1 1 0 |
| 28.6 | 41 | 1 3 0 |
| 31.2 | 67 | 1 3 1 |
| 33.3 | 100 | 0 4 2 |
| 34.7 | 54 | 1 1 2 |
| 38.5 | 36 | 1 5 1 |
| 45.1 | 50 | 1 1 3 |
| 59.3 | 37 | 2 4 2 |

=====

Entry 2:
This entry pairs a crystal structure of NaAgI2O8 with its calculated powder diffractogram. Radiation: Cu Ka. Structure: a structure optimized by DFT (GGA-PBE).
Intensities are scaled so that the largest is 100.

Cell and atoms:
```
data_NaAgI2O8
_chemical_formula_sum 'Na2 Ag2 I4 O16'
_symmetry_space_group_name_H-M 'I -4 m 2'
_symmetry_Int_Tables_number 119
_symmetry_space_group_name_Hall 'I -4 -2'
_cell_length_a 7.639
_cell_length_b 7.639
_cell_length_c 6.890
_cell_angle_alpha 90.00
_cell_angle_beta 90.00
_cell_angle_gamma 90.00
loop_
_atom_site_label
_atom_site_fract_x
_atom_site_fract_y
_atom_site_fract_z
Na1 0.000 0.000 0.000
Ag1 0.000 0.500 0.750
I1 0.000 0.000 0.500
I2 0.000 0.500 0.250
O1 0.000 0.188 0.660
O2 0.000 0.313 0.092
```

Peak list (8 most intense, 15° ≤ 2θ ≤ 90°, low angle first)
| two_theta | I/Imax | (hkl) |
| --- | --- | --- |
| 17.3 | 30 | 1 0 1 |
| 23.3 | 100 | 2 0 0 |
| 29.2 | 23 | 2 1 1 |
| 30.8 | 78 | 1 1 2 |
| 33.2 | 20 | 2 2 0 |
| 45.9 | 61 | 3 1 2 |
| 47.6 | 21 | 4 0 0 |
| 57.8 | 17 | 3 3 2 |